# 1
Diffraction record for SrSnPd2. The powder diffraction line list is calculated, not measured: it uses a GGA-PBE-relaxed structure and CuKα.
Intensities are scaled so that the largest is 100.

Most intense lines, 2θ = 5–70°, by angle:
(1 0 1), 17.63 deg, I = 54; (0 1 1), 18.36 deg, I = 22; (2 1 1), 29.17 deg, I = 37; (1 1 2), 32.21 deg, I = 100; (2 2 0), 33.66 deg, I = 32; (2 2 1), 36.45 deg, I = 72; (3 0 1), 36.76 deg, I = 83; (0 2 2), 37.22 deg, I = 29; (1 2 2), 38.97 deg, I = 70; (1 3 1), 41.69 deg, I = 55; (2 3 0), 44.13 deg, I = 43; (4 1 1), 49.80 deg, I = 29

Cell and atoms:
```
data_SrSnPd2
_symmetry_space_group_name_H-M 'P n m a'
_symmetry_Int_Tables_number 62
_cell_length_a 7.9137
_cell_length_b 7.2006
_cell_length_c 6.5169
_cell_angle_alpha 90.00
_cell_angle_beta 90.00
_cell_angle_gamma 90.00
loop_
_symmetry_equiv_pos_as_xyz
'x,y,z'
'-x,-y,-z'
'-x+1/2,-y,z+1/2'
'x+1/2,y,-z+1/2'
'x+1/2,-y+1/2,-z+1/2'
'-x+1/2,y+1/2,z+1/2'
'-x,y+1/2,-z'
'x,-y+1/2,z'
loop_
_atom_site_label
_atom_site_fract_x
_atom_site_fract_y
_atom_site_fract_z
Sr1 0.0181 0.2500 0.1586
Sn1 0.1320 0.7500 0.3424
Pd1 0.1668 0.0558 0.5806
```



# 2
Diffraction record for Sr2ThSnPd6. The powder diffraction line list is calculated, not measured: it uses a GGA-PBE-relaxed structure and CuKα.
Intensities are scaled so that the largest is 100.

Most intense lines, 2θ = 5–70°, by angle:
(2 0 0), 17.19 deg, I = 61; (2 2 0), 24.40 deg, I = 33; (2 2 2), 30.00 deg, I = 34; (4 0 0), 34.77 deg, I = 100; (4 2 0), 39.04 deg, I = 32; (4 2 2), 42.94 deg, I = 15; (4 4 0), 50.00 deg, I = 71; (6 0 0), 53.26 deg, I = 16; (6 2 2), 59.41 deg, I = 13; (4 4 4), 62.34 deg, I = 24; (6 4 0), 65.19 deg, I = 7; (6 4 2), 67.98 deg, I = 8

Cell and atoms:
```
data_Sr2ThSnPd6
_symmetry_space_group_name_H-M 'F m -3 m'
_symmetry_Int_Tables_number 225
_symmetry_space_group_name_Hall '-F 4 2 3'
_cell_length_a 10.3194
_cell_length_b 10.3194
_cell_length_c 10.3194
_cell_angle_alpha 90.00
_cell_angle_beta 90.00
_cell_angle_gamma 90.00
loop_
_atom_site_label
_atom_site_fract_x
_atom_site_fract_y
_atom_site_fract_z
Sr1 0.2500 0.2500 0.2500
Th1 0.0000 0.0000 0.0000
Sn1 0.0000 0.0000 0.5000
Pd1 0.0000 0.0000 0.2525
```



Copy entry 2 word for word.
Diffraction record for Sr2ThSnPd6. The powder diffraction line list is calculated, not measured: it uses a GGA-PBE-relaxed structure and CuKα.
Intensities are scaled so that the largest is 100.

Most intense lines, 2θ = 5–70°, by angle:
(2 0 0), 17.19 deg, I = 61; (2 2 0), 24.40 deg, I = 33; (2 2 2), 30.00 deg, I = 34; (4 0 0), 34.77 deg, I = 100; (4 2 0), 39.04 deg, I = 32; (4 2 2), 42.94 deg, I = 15; (4 4 0), 50.00 deg, I = 71; (6 0 0), 53.26 deg, I = 16; (6 2 2), 59.41 deg, I = 13; (4 4 4), 62.34 deg, I = 24; (6 4 0), 65.19 deg, I = 7; (6 4 2), 67.98 deg, I = 8

Cell and atoms:
```
data_Sr2ThSnPd6
_symmetry_space_group_name_H-M 'F m -3 m'
_symmetry_Int_Tables_number 225
_symmetry_space_group_name_Hall '-F 4 2 3'
_cell_length_a 10.3194
_cell_length_b 10.3194
_cell_length_c 10.3194
_cell_angle_alpha 90.00
_cell_angle_beta 90.00
_cell_angle_gamma 90.00
loop_
_atom_site_label
_atom_site_fract_x
_atom_site_fract_y
_atom_site_fract_z
Sr1 0.2500 0.2500 0.2500
Th1 0.0000 0.0000 0.0000
Sn1 0.0000 0.0000 0.5000
Pd1 0.0000 0.0000 0.2525
```